No. 1
The following is a theoretical X-ray diffraction stick pattern of Ba3Nb2Se9. It was derived from a structure optimized by DFT (GGA-PBE), using Cu Kα (weighted mean of Kα1 and Kα2).
Neutral-atom scattering factors, no anomalous dispersion.

Crystal structure
```
Ba3Nb2Se9
1.0
7.416 0.000 0.000
0.000 12.519 0.000
-2.183 0.000 17.641
Ba Nb Se
12 8 36
Cartesian
1.579 1.106 1.486
0.488 5.153 10.307
0.904 0.762 7.373
-0.188 5.498 16.194
1.328 9.388 4.343
0.236 9.390 13.164
4.996 3.129 4.478
3.905 3.131 13.298
5.421 7.021 1.448
4.329 11.758 10.268
4.745 7.366 7.334
3.653 11.413 16.155
-0.311 0.788 15.013
0.781 5.472 6.192
0.667 0.851 11.509
1.758 5.409 2.688
3.474 7.110 14.953
4.566 11.669 6.132
4.452 7.047 11.449
5.543 11.732 2.628
-0.507 0.301 4.396
-1.599 5.958 13.217
-1.283 2.398 10.906
-0.191 3.861 2.085
-1.158 8.152 10.218
-0.067 10.626 1.397
1.293 7.333 1.263
0.202 11.445 10.084
0.133 2.861 13.295
1.225 3.399 4.475
1.417 7.234 7.721
0.325 11.545 16.542
1.453 2.659 15.498
2.544 3.601 6.677
2.390 2.022 10.231
3.481 4.238 1.410
3.134 6.410 4.529
2.043 12.369 13.350
3.190 0.151 4.291
2.098 6.109 13.112
1.751 8.281 16.231
2.843 10.497 7.411
2.688 8.918 10.964
3.780 9.860 2.144
4.907 0.974 1.099
3.816 5.285 9.920
4.008 9.121 13.166
5.100 9.658 4.346
5.031 1.074 7.558
3.939 5.186 16.378
5.299 1.893 16.244
6.391 4.367 7.423
5.424 8.658 15.556
6.516 10.121 6.736
6.831 6.561 4.424
5.740 12.218 13.245
```

Largest 10 diffraction maxima, low angle first, 10 to 90 degrees two-theta:
| Position (°2θ) | Rel. int. |
| --- | --- |
| 28.9 | 81 |
| 30.3 | 54 |
| 30.4 | 60 |
| 30.6 | 51 |
| 30.9 | 36 |
| 33.0 | 100 |
| 33.5 | 46 |
| 36.6 | 42 |
| 38.5 | 39 |
| 50.3 | 43 |



No. 2
The following is a theoretical X-ray diffraction stick pattern of LiAsOs2. It was derived from a structure optimized by DFT (GGA-PBE), using Cu Kα (weighted mean of Kα1 and Kα2).
Neutral-atom scattering factors, no anomalous dispersion.

Crystal structure
```
LiAsOs2
1.0
0.000 3.048 3.048
3.048 0.000 3.048
3.048 3.048 0.000
Li As Os
1 1 2
Cartesian
0.000 0.000 0.000
4.572 4.572 4.572
1.524 1.524 1.524
3.048 3.048 3.048
```

Largest 10 diffraction maxima, low angle first, 10 to 90 degrees two-theta:
| Position (°2θ) | Rel. int. |
| --- | --- |
| 25.3 | 54 |
| 29.3 | 3 |
| 41.9 | 100 |
| 49.6 | 27 |
| 52.0 | 1 |
| 60.8 | 17 |
| 66.9 | 11 |
| 68.9 | 1 |
| 76.6 | 35 |
| 82.2 | 9 |



No. 3
The following is a theoretical X-ray diffraction stick pattern of Dy2SeOF2. It was derived from a structure optimized by DFT (GGA-PBE), using Cu Kα (weighted mean of Kα1 and Kα2).
Neutral-atom scattering factors, no anomalous dispersion.

Crystal structure
```
Dy2SeOF2
1.0
13.228 0.000 0.000
-6.614 11.455 0.000
0.000 0.000 3.704
Dy Se O F
12 6 6 12
Cartesian
-4.342 8.791 0.926
-1.844 5.906 0.926
1.172 3.299 0.926
3.443 0.635 2.778
-0.577 10.100 0.926
2.421 6.906 0.926
4.192 4.550 2.778
7.191 1.356 2.778
3.170 10.821 0.926
5.442 8.156 2.778
8.458 5.550 2.778
10.956 2.665 2.778
-2.016 8.234 2.778
0.491 5.593 2.778
5.089 2.371 0.926
1.525 9.084 2.778
6.123 5.863 0.926
8.629 3.221 0.926
-2.632 4.881 2.778
-1.070 11.294 2.778
2.911 4.720 0.926
3.703 6.735 2.778
7.684 0.161 0.926
9.246 6.574 0.926
-1.187 3.607 0.926
-4.613 10.257 2.778
0.037 2.332 2.778
2.038 1.134 0.926
-2.896 10.680 0.926
2.530 2.832 2.778
4.083 8.624 0.926
9.510 0.776 2.778
4.575 10.322 2.778
6.576 9.123 0.926
11.227 1.198 0.926
7.801 7.848 2.778
```

Largest 10 diffraction maxima, low angle first, 10 to 90 degrees two-theta:
| Position (°2θ) | Rel. int. |
| --- | --- |
| 13.4 | 33 |
| 28.1 | 100 |
| 31.8 | 97 |
| 33.7 | 75 |
| 36.4 | 43 |
| 37.3 | 38 |
| 49.2 | 29 |
| 49.7 | 45 |
| 55.9 | 38 |
| 72.5 | 29 |